No. 1
Structure and calculated XRD peak list of Ge3F (a cell relaxed with GGA-PBE; a wavelength of 1.5418 Å).
Intensities are scaled so that the largest is 1000.

Crystal structure
Lattice parameters (Å, degrees): 4.519 4.519 4.519 60.00 60.00 60.00
Fractional positions:
Ge 0.000 0.000 0.000
Ge 0.250 0.250 0.250
Ge 0.750 0.750 0.750
F 0.500 0.500 0.500

Peak list (11 most intense, 15° ≤ 2θ ≤ 90°, low angle first)
2θ/deg  Rel. int.
24.1  125
27.9  65
39.9  1000
47.2  66
49.4  19
57.7  163
63.4  29
65.3  27
72.4  321
77.6  22
86.1  101

No. 2
Structure and calculated XRD peak list of Te4MoW3Se2S2 (a cell relaxed with GGA-PBE; a wavelength of 1.5418 Å).
Intensities are scaled so that the largest is 1000.

Crystal structure
Lattice parameters (Å, degrees): 3.396 3.396 38.746 90.00 90.00 120.00
Fractional positions:
Te 0.000 0.000 0.000
Te 0.000 0.000 0.097
Te 0.333 0.667 0.437
Te 0.333 0.667 0.533
Mo 0.000 0.000 0.485
W 0.000 0.000 0.861
W 0.333 0.667 0.049
W 0.333 0.667 0.673
Se 0.000 0.000 0.630
Se 0.000 0.000 0.716
S 0.333 0.667 0.822
S 0.333 0.667 0.900

Peak list (12 most intense, 15° ≤ 2θ ≤ 90°, low angle first)
2θ/deg  Rel. int.
30.4  514
32.6  159
33.5  103
35.7  1000
38.4  169
43.2  549
45.0  186
54.0  327
55.4  132
66.4  163
71.5  122
76.2  161